(1)
# K4Dy3AlS8
Simulated XRD peak list, Cu Ka. Input: a GGA-PBE-relaxed structure.
Intensities are scaled so that the largest is 100.

Largest 10 diffraction maxima, in order of rising 2θ, 5° ≤ 2θ ≤ 70°:
| Position (°2θ) | I (rel.) |
| --- | --- |
| 12.03 | 67 |
| 24.20 | 15 |
| 26.27 | 17 |
| 27.20 | 28 |
| 30.67 | 100 |
| 38.78 | 18 |
| 42.01 | 34 |
| 45.77 | 32 |
| 47.50 | 14 |
| 56.11 | 16 |

Cell and atoms:
Unit cell a=8.6643 b=8.6643 c=8.6643 alpha=54.46 beta=54.46 gamma=54.46
Atoms (fractional coordinates):
K  0.0000  0.0000  0.0000
K  0.0000  0.5000  0.5000
K  0.5000  0.0000  0.5000
K  0.5000  0.5000  0.0000
Dy  0.0000  0.0000  0.5000
Dy  0.0000  0.5000  0.0000
Dy  0.5000  0.0000  0.0000
Al  0.5000  0.5000  0.5000
S  0.2347  0.2347  0.2347
S  0.2539  0.7195  0.7195
S  0.2805  0.2805  0.7461
S  0.2805  0.7461  0.2805
S  0.7195  0.2539  0.7195
S  0.7195  0.7195  0.2539
S  0.7461  0.2805  0.2805
S  0.7653  0.7653  0.7653

***

(2)
# DyHo3Ir8
Simulated XRD peak list, Cu Ka. Input: a GGA-PBE-relaxed structure.
Intensities are scaled so that the largest is 100.

Largest 10 diffraction maxima, in order of rising 2θ, 5° ≤ 2θ ≤ 70°:
| Position (°2θ) | I (rel.) |
| --- | --- |
| 33.48 | 24 |
| 36.54 | 68 |
| 39.53 | 100 |
| 40.26 | 99 |
| 41.51 | 21 |
| 44.27 | 28 |
| 46.09 | 15 |
| 61.86 | 27 |
| 63.92 | 25 |
| 67.27 | 32 |

Cell and atoms:
Unit cell a=5.3537 b=5.3537 c=8.7015 alpha=90.00 beta=90.00 gamma=120.00
Atoms (fractional coordinates):
Dy  0.0000  0.0000  0.0000
Ho  0.0000  0.0000  0.3659
Ho  0.6667  0.3333  0.4998
Ho  0.6667  0.3333  0.8655
Ir  0.1633  0.3267  0.6826
Ir  0.1633  0.8367  0.6826
Ir  0.3333  0.6667  0.4327
Ir  0.3333  0.6667  0.9327
Ir  0.5034  0.0067  0.1830
Ir  0.5034  0.4966  0.1830
Ir  0.6733  0.8367  0.6826
Ir  0.9933  0.4966  0.1830

***

(3)
# CsDy5Te8
Simulated XRD peak list, Cu Ka. Input: a GGA-PBE-relaxed structure.
Intensities are scaled so that the largest is 100.

Largest 10 diffraction maxima, in order of rising 2θ, 5° ≤ 2θ ≤ 70°:
| Position (°2θ) | I (rel.) |
| --- | --- |
| 8.37 | 25 |
| 26.02 | 100 |
| 27.25 | 35 |
| 30.78 | 21 |
| 32.52 | 43 |
| 32.97 | 22 |
| 37.03 | 21 |
| 40.93 | 27 |
| 41.29 | 50 |
| 53.51 | 16 |

Cell and atoms:
Unit cell a=11.5443 b=11.5443 c=10.8871 alpha=103.82 beta=103.82 gamma=22.02
Atoms (fractional coordinates):
Cs  0.0000  0.0000  0.0000
Dy  0.1559  0.1559  0.4695
Dy  0.2045  0.2045  0.8448
Dy  0.4999  0.4999  0.5005
Dy  0.7953  0.7953  0.1559
Dy  0.8439  0.8439  0.5313
Te  0.0760  0.0760  0.6618
Te  0.2656  0.2656  0.3458
Te  0.3348  0.3348  0.0029
Te  0.4165  0.4165  0.6877
Te  0.5832  0.5832  0.3134
Te  0.6651  0.6651  0.9978
Te  0.7343  0.7343  0.6550
Te  0.9239  0.9239  0.3391

***

(4)
# PaTe3Br
Simulated XRD peak list, Cu Ka. Input: a GGA-PBE-relaxed structure.
Intensities are scaled so that the largest is 100.

Largest 10 diffraction maxima, in order of rising 2θ, 5° ≤ 2θ ≤ 70°:
| Position (°2θ) | I (rel.) |
| --- | --- |
| 11.52 | 100 |
| 24.95 | 21 |
| 25.32 | 24 |
| 27.49 | 21 |
| 29.48 | 35 |
| 30.07 | 42 |
| 31.13 | 33 |
| 34.93 | 22 |
| 38.13 | 20 |
| 43.21 | 36 |

Cell and atoms:
Unit cell a=7.1386 b=7.9775 c=8.6184 alpha=89.61 beta=65.69 gamma=64.38
Atoms (fractional coordinates):
Pa  0.1039  0.2117  0.0788
Pa  0.8961  0.7883  0.9212
Te  0.2811  0.9101  0.7543
Te  0.2822  0.3838  0.7701
Te  0.4325  0.7640  0.0091
Te  0.5675  0.2360  0.9909
Te  0.7178  0.6162  0.2299
Te  0.7189  0.0899  0.2457
Br  0.0758  0.2126  0.4003
Br  0.9242  0.7874  0.5997

***

(5)
# AlNi2HW
Simulated XRD peak list, Cu Ka. Input: a GGA-PBE-relaxed structure.
Intensities are scaled so that the largest is 100.

Largest 10 diffraction maxima, in order of rising 2θ, 5° ≤ 2θ ≤ 70°:
| Position (°2θ) | I (rel.) |
| --- | --- |
| 17.37 | 100 |
| 19.61 | 81 |
| 26.32 | 44 |
| 35.16 | 25 |
| 39.84 | 36 |
| 40.58 | 25 |
| 43.76 | 38 |
| 44.78 | 19 |
| 54.17 | 29 |
| 58.17 | 18 |

Cell and atoms:
Unit cell a=4.5259 b=4.5259 c=5.1051 alpha=90.00 beta=90.00 gamma=90.00
Atoms (fractional coordinates):
Al  0.0000  0.0000  0.0000
Ni  0.0000  0.5000  0.5000
Ni  0.5000  0.0000  0.5000
H  0.5000  0.5000  0.0000
W  0.0000  0.0000  0.5000

***

(6)
# Na3PuCu2S6
Simulated XRD peak list, Cu Ka. Input: a GGA-PBE-relaxed structure.
Intensities are scaled so that the largest is 100.

Largest 10 diffraction maxima, in order of rising 2θ, 5° ≤ 2θ ≤ 70°:
| Position (°2θ) | I (rel.) |
| --- | --- |
| 13.22 | 100 |
| 16.03 | 31 |
| 17.20 | 31 |
| 21.74 | 16 |
| 25.31 | 26 |
| 30.02 | 66 |
| 34.44 | 65 |
| 43.55 | 19 |
| 45.95 | 27 |
| 46.71 | 26 |

Cell and atoms:
Unit cell a=6.2584 b=6.2584 c=7.2447 alpha=102.45 beta=102.45 gamma=111.05
Atoms (fractional coordinates):
Na  0.0000  0.0000  0.0000
Na  0.3410  0.6590  0.0000
Na  0.6590  0.3410  0.0000
Pu  0.5000  0.5000  0.5000
Cu  0.1732  0.8268  0.5000
Cu  0.8268  0.1732  0.5000
S  0.1160  0.4768  0.2651
S  0.2067  0.2067  0.6760
S  0.4768  0.1160  0.2651
S  0.5232  0.8840  0.7349
S  0.7933  0.7933  0.3240
S  0.8840  0.5232  0.7349